This entry pairs a crystal structure of CaLaTiCrO6 with its calculated powder XRD pattern. Radiation: Cu Kα X-rays. Structure: a structure optimized by DFT (PBE+U).
Kinematic intensities with the Lorentz-polarization factor, no thermal factor.

The 10 most intense peaks (2θ from 15° to 90°), low angle first:
- 2θ = 19.64°, d = 4.520 Å, I = 24
- 2θ = 19.78°, d = 4.488 Å, I = 25
- 2θ = 32.25°, d = 2.775 Å, I = 24
- 2θ = 32.48°, d = 2.757 Å, I = 100
- 2θ = 32.61°, d = 2.746 Å, I = 24
- 2θ = 38.34°, d = 2.348 Å, I = 23
- 2θ = 46.52°, d = 1.952 Å, I = 32
- 2θ = 46.66°, d = 1.947 Å, I = 17
- 2θ = 58.09°, d = 1.588 Å, I = 33
- 2θ = 68.01°, d = 1.378 Å, I = 16

Crystal structure
```
20
Lattice="5.493 0.000 0.000 0.000 5.551 0.000 -5.490 0.000 7.787" Properties=species:S:1:pos:R:3 pbc="T T T"
Ca 0.000 1.159 0.000
Ca -2.745 4.392 3.893
La 0.094 1.565 3.886
La -2.651 3.986 7.780
Ti 2.802 1.383 1.934
Ti 0.058 4.167 5.827
Cr -2.687 1.391 5.841
Cr 0.058 4.160 1.947
O -1.128 2.554 1.624
O -3.873 2.996 5.517
O -2.283 1.276 3.871
O -5.028 4.274 7.765
O 2.361 1.478 0.021
O -0.384 4.073 3.914
O 1.264 0.194 2.250
O -1.481 5.357 6.143
O -1.095 2.592 6.172
O 1.650 2.959 2.278
O 1.235 0.175 5.525
O 3.980 5.376 1.631
```